# NdZnAu4
Theoretical X-ray diffraction stick pattern, Cu Kα. Input: the PBE geometry in Alexandria.
Peak positions follow from Bragg's law for the DFT cell and can differ from measured ones.

Crystal structure
```
data_NdZnAu4
_chemical_formula_sum 'Nd4 Zn4 Au16'
_symmetry_space_group_name_H-M 'C m c m'
_symmetry_Int_Tables_number 63
_symmetry_space_group_name_Hall '-C 2c 2'
_cell_length_a 5.044
_cell_length_b 13.879
_cell_length_c 7.317
_cell_angle_alpha 90.00
_cell_angle_beta 90.00
_cell_angle_gamma 90.00
loop_
_atom_site_label
_atom_site_type_symbol
_atom_site_fract_x
_atom_site_fract_y
_atom_site_fract_z
_atom_site_occupancy
Nd1 Nd 0.000 0.113 0.250 1
Zn1 Zn 0.000 0.367 0.250 1
Au1 Au 0.000 0.099 0.750 1
Au2 Au 0.000 0.287 0.562 1
Au3 Au 0.000 0.500 0.000 1
```

Largest 10 diffraction maxima, by angle, 5° ≤ 2θ ≤ 70°:
d 2.896, 2θ 30.87, I = 65.4, (1 1 2); d 2.520, 2θ 35.63, I = 100.0, (2 0 0); d 2.432, 2θ 36.96, I = 63.6, (1 5 0); d 2.169, 2θ 41.64, I = 18.7, (1 1 3); d 1.984, 2θ 45.74, I = 9.1, (1 3 3); d 1.782, 2θ 51.27, I = 36.6, (2 4 2); d 1.519, 2θ 61.02, I = 9.7, (3 1 2); d 1.462, 2θ 63.65, I = 8.8, (1 5 4); d 1.438, 2θ 64.83, I = 12.6, (3 5 0); d 1.368, 2θ 68.61, I = 15.0, (1 9 2)

# RbInBiSe3
Theoretical X-ray diffraction stick pattern, Cu Kα. Input: the PBE geometry in Alexandria.
Peak positions follow from Bragg's law for the DFT cell and can differ from measured ones.

Crystal structure
```
data_RbInBiSe3
_chemical_formula_sum 'Rb2 In2 Bi2 Se6'
_symmetry_space_group_name_H-M 'P 1 21/m 1'
_symmetry_Int_Tables_number 11
_cell_length_a 9.071
_cell_length_b 4.829
_cell_length_c 10.326
_cell_angle_alpha 90.00
_cell_angle_beta 105.45
_cell_angle_gamma 90.00
loop_
_symmetry_equiv_pos_as_xyz
'x,y,z'
'-x,-y,-z'
'-x,y+1/2,-z'
'x,-y+1/2,z'
loop_
_atom_site_label
_atom_site_type_symbol
_atom_site_fract_x
_atom_site_fract_y
_atom_site_fract_z
_atom_site_occupancy
Rb1 Rb 0.197 0.250 0.222 1
In1 In 0.118 0.250 0.601 1
Bi1 Bi 0.337 0.750 0.873 1
Se1 Se 0.124 0.250 0.862 1
Se2 Se 0.202 0.750 0.525 1
Se3 Se 0.453 0.750 0.146 1
```

Largest 10 diffraction maxima, by angle, 5° ≤ 2θ ≤ 70°:
d 7.658, 2θ 11.56, I = 100.0, (1 0 -1); d 3.318, 2θ 26.87, I = 22.0, (0 0 3); d 3.278, 2θ 27.20, I = 43.3, (2 1 -1); d 3.241, 2θ 27.52, I = 56.9, (2 1 0); d 2.859, 2θ 31.28, I = 18.8, (1 0 3); d 2.790, 2θ 32.08, I = 21.3, (1 1 -3); d 2.562, 2θ 35.02, I = 18.1, (3 1 -1); d 2.415, 2θ 37.24, I = 28.9, (0 2 0); d 2.194, 2θ 41.14, I = 27.5, (2 1 -4); d 2.051, 2θ 44.16, I = 16.5, (3 1 2)